Structure and simulated powder diffractogram of NdScSi4Ni2 (a DFT-relaxed cell (PBE, OQMD); Cu Kα X-rays).
No peak broadening, texture or thermal motion is included.

Cell and atoms:
```
data_NdScSi4Ni2
_chemical_formula_sum 'Nd2 Sc2 Si8 Ni4'
_cell_length_a 3.967
_cell_length_b 3.995
_cell_length_c 16.307
_cell_angle_alpha 90.00
_cell_angle_beta 90.00
_cell_angle_gamma 90.00
_symmetry_space_group_name_H-M 'A m m 2'
_symmetry_Int_Tables_number 38
loop_
_symmetry_equiv_pos_as_xyz
'x,y,z'
'-x,-y,z'
'-x,y,z'
'x,-y,z'
'x,y+1/2,z+1/2'
'-x,-y+1/2,z+1/2'
'-x,y+1/2,z+1/2'
'x,-y+1/2,z+1/2'
loop_
_atom_site_label
_atom_site_type_symbol
_atom_site_fract_x
_atom_site_fract_y
_atom_site_fract_z
Nd1 Nd 0.000 0.000 0.000
Sc1 Sc 0.500 0.000 0.211
Si1 Si 0.000 0.000 0.351
Si2 Si 0.000 0.000 0.647
Si3 Si 0.500 0.000 0.568
Si4 Si 0.500 0.000 0.851
Ni1 Ni 0.000 0.000 0.782
Ni2 Ni 0.500 0.000 0.425
```

Peak list (12 most intense, 2θ = 15–90°, most intense first)
2θ 35.9, I 100
2θ 32.3, I 96
2θ 35.5, I 82
2θ 31.5, I 46
2θ 40.2, I 42
2θ 45.4, I 40
2θ 45.7, I 39
2θ 59.2, I 35
2θ 66.4, I 25
2θ 50.3, I 23
2θ 55.7, I 23
2θ 62.2, I 22


Structure and simulated powder diffractogram of NdSi2Ni9 (a DFT-relaxed cell (PBE, OQMD); Cu Kα X-rays).
No peak broadening, texture or thermal motion is included.

Cell and atoms:
```
data_NdSi2Ni9
_chemical_formula_sum 'Nd4 Si8 Ni36'
_cell_length_a 9.791
_cell_length_b 9.791
_cell_length_c 6.212
_cell_angle_alpha 90.00
_cell_angle_beta 90.00
_cell_angle_gamma 90.00
_symmetry_space_group_name_H-M 'I 41/a m d'
_symmetry_Int_Tables_number 141
loop_
_symmetry_equiv_pos_as_xyz
'x,y,z'
'-x,-y,-z'
'-y+1/4,x+3/4,z+1/4'
'y+1/4,-x+3/4,-z+1/4'
'-x+1/2,-y,z+1/2'
'x+1/2,y,-z+1/2'
'y+1/4,-x+1/4,z+3/4'
'-y+1/4,x+1/4,-z+3/4'
'x,-y,-z'
'-x,y,z'
'-y+1/4,-x+1/4,-z+3/4'
'y+1/4,x+1/4,z+3/4'
'-x+1/2,y,-z+1/2'
'x+1/2,-y,z+1/2'
'y+1/4,x+3/4,-z+1/4'
'-y+1/4,-x+3/4,z+1/4'
'x+1/2,y+1/2,z+1/2'
'-x+1/2,-y+1/2,-z+1/2'
'-y+3/4,x+1/4,z+3/4'
'y+3/4,-x+1/4,-z+3/4'
'-x,-y+1/2,z'
'x,y+1/2,-z'
'y+3/4,-x+3/4,z+1/4'
'-y+3/4,x+3/4,-z+1/4'
'x+1/2,-y+1/2,-z+1/2'
'-x+1/2,y+1/2,z+1/2'
'-y+3/4,-x+3/4,-z+1/4'
'y+3/4,x+3/4,z+1/4'
'-x,y+1/2,-z'
'x,-y+1/2,z'
'y+3/4,x+1/4,-z+3/4'
'-y+3/4,-x+1/4,z+3/4'
loop_
_atom_site_label
_atom_site_type_symbol
_atom_site_fract_x
_atom_site_fract_y
_atom_site_fract_z
Nd1 Nd 0.000 0.250 0.375
Si1 Si 0.000 0.000 0.000
Ni1 Ni 0.000 0.250 0.875
Ni2 Ni 0.124 0.046 0.688
```

Peak list (12 most intense, 2θ = 15–90°, most intense first)
2θ 41.2, I 100
2θ 48.8, I 20
2θ 44.7, I 15
2θ 75.1, I 15
2θ 36.1, I 14
2θ 51.0, I 11
2θ 31.0, I 10
2θ 47.3, I 10
2θ 31.6, I 9
2θ 25.7, I 9
2θ 40.7, I 8
2θ 68.8, I 8


Structure and simulated powder diffractogram of NdSiNi (a DFT-relaxed cell (PBE, OQMD); Cu Kα X-rays).
No peak broadening, texture or thermal motion is included.

Cell and atoms:
```
data_NdSiNi
_chemical_formula_sum 'Nd4 Si4 Ni4'
_cell_length_a 4.107
_cell_length_b 4.107
_cell_length_c 13.834
_cell_angle_alpha 90.00
_cell_angle_beta 90.00
_cell_angle_gamma 90.00
_symmetry_space_group_name_H-M 'I 41 m d'
_symmetry_Int_Tables_number 109
_symmetry_space_group_name_Hall 'I 4bw -2'
loop_
_atom_site_label
_atom_site_type_symbol
_atom_site_fract_x
_atom_site_fract_y
_atom_site_fract_z
Nd1 Nd 0.000 0.000 0.000
Si1 Si 0.000 0.000 0.581
Ni1 Ni 0.000 0.000 0.412
```

Peak list (12 most intense, 2θ = 15–90°, most intense first)
2θ 33.5, I 100
2θ 29.1, I 46
2θ 39.3, I 46
2θ 44.1, I 35
2θ 60.5, I 25
2θ 51.3, I 19
2θ 74.3, I 19
2θ 53.7, I 17
2θ 22.6, I 16
2θ 69.9, I 15
2θ 25.8, I 12
2θ 64.1, I 11